Diffraction record for K2Hg7. The powder diffraction line list is calculated, not measured: it uses DFT lattice parameters and positions (GGA-PBE) and Cu Kα.
No peak broadening, texture or thermal motion is included.

Main lines, in order of falling intensity (10° ≤ 2θ ≤ 90°):
32.44 deg, I = 100, hkl 0 2 1
40.76 deg, I = 45, hkl 2 0 2
20.06 deg, I = 34, hkl 0 1 1
51.80 deg, I = 23, hkl 2 2 0
28.86 deg, I = 22, hkl 1 1 1
31.48 deg, I = 22, hkl 1 0 2
38.97 deg, I = 21, hkl 2 1 0
58.82 deg, I = 16, hkl 2 1 3
68.97 deg, I = 16, hkl 2 2 3
14.49 deg, I = 15, hkl 1 0 0

Structure:
Cell lengths 7.060, 7.060, 6.419 Å; angles 90.00, 90.00, 120.00 degrees
Positions (direct):
K 0.333 0.667 0.338
K 0.667 0.333 0.662
Hg 0.000 0.000 0.500
Hg 0.182 0.364 0.831
Hg 0.182 0.818 0.831
Hg 0.364 0.182 0.169
Hg 0.636 0.818 0.831
Hg 0.818 0.182 0.169
Hg 0.818 0.636 0.169